Entry 1:
Simulated powder diffraction line list of Li2CuP2O7 for CuKα, from a crystal structure in Alexandria, relaxed with GGA-PBE.

Atomic structure:
```
Li2CuP2O7
1.0
5.0092 0.0000 0.0000
0.0000 13.4383 0.0000
-4.4309 0.0000 8.0247
Li Cu P O
8 4 8 28
Cartesian
-1.3663 1.4601 2.9270
-3.5817 5.2590 6.9394
1.3737 2.7277 1.4087
-0.8418 3.9915 5.4211
1.4201 9.4469 2.6036
-0.7954 10.7106 6.6160
4.1601 8.1793 1.0853
1.9446 11.9782 5.0977
-3.1153 1.9925 6.0686
-0.8999 4.7266 2.0562
1.4782 8.7117 5.9685
3.6937 11.4458 1.9562
-1.0440 8.9946 4.2260
1.1714 11.1628 0.2136
-1.0070 7.0462 6.2378
1.2085 13.1113 2.2255
-0.6301 0.3270 5.7992
1.5853 6.3921 1.7869
-0.5931 2.2755 7.8111
1.6224 4.4437 3.7988
-0.6160 2.3861 1.1935
-2.8315 4.3331 5.2059
-1.9657 9.6687 5.2783
0.2498 10.4888 1.2659
-2.4900 7.1489 6.6651
-0.2746 13.0086 2.6528
-1.4941 1.4222 5.0954
0.7214 5.2970 1.0830
-0.9917 7.4269 4.6376
1.2237 12.7305 0.6252
0.9962 7.7717 1.6865
-1.2193 12.3858 5.6989
-2.0401 2.7956 7.6624
0.1754 3.9236 3.6500
0.4030 9.5147 4.3747
2.6184 10.6428 0.3623
1.7976 1.0526 2.3258
-0.4179 5.6666 6.3382
-0.6454 0.7078 7.3995
1.5700 6.0114 3.3871
-0.1430 8.1413 6.9417
2.0724 12.0161 2.9293
0.8529 0.4297 5.3719
3.0684 6.2895 1.3596
0.3285 2.9495 6.7588
2.5440 3.7697 2.7464
3.4098 9.1053 2.8188
1.1943 11.0522 6.8312
```

Largest 12 diffraction maxima, low angle first, 2θ = 10–90°:
5.152 Å, intensity 100
4.012 Å, intensity 33
3.931 Å, intensity 13
3.911 Å, intensity 31
3.672 Å, intensity 24
3.507 Å, intensity 16
2.922 Å, intensity 30
2.758 Å, intensity 32
2.667 Å, intensity 23
2.498 Å, intensity 17
2.287 Å, intensity 13
1.970 Å, intensity 12


Entry 2:
Simulated powder diffraction line list of Li2Cu5P4O16 for CuKα, from a crystal structure in Alexandria, relaxed with GGA-PBE.

Atomic structure:
```
Li2Cu5P4O16
1.0
5.3896 0.0000 0.0000
1.3514 7.6609 0.0000
0.4960 3.8460 7.6114
Li Cu P O
2 5 4 16
Cartesian
0.9116 1.4967 1.5525
6.3254 10.0102 6.0589
1.9399 4.9482 5.9441
2.3400 4.4874 2.1435
2.9428 1.9230 3.8057
4.8969 7.0195 5.4678
5.2970 6.5587 1.6673
2.1240 7.2097 3.8255
3.6493 9.6199 6.9276
3.5876 1.8870 0.6838
5.1130 4.2972 3.7859
0.9195 3.5244 3.1842
1.6012 6.2598 2.6760
2.7584 10.7802 6.3893
2.2815 4.8940 0.1982
3.1020 8.1875 3.1149
2.8577 6.3632 4.9107
2.2532 1.4136 0.0706
4.0973 8.8196 5.6239
3.1397 2.6873 1.9875
4.9838 10.0933 7.5408
4.3792 5.1437 2.7007
4.1350 3.3194 4.4965
4.9555 6.6129 7.4132
4.4785 0.7268 1.2221
5.6358 5.2471 4.9354
6.3175 7.9825 4.4272
```

Largest 12 diffraction maxima, low angle first, 2θ = 10–90°:
7.611 Å, intensity 55
5.306 Å, intensity 45
4.523 Å, intensity 100
4.234 Å, intensity 44
3.193 Å, intensity 96
3.130 Å, intensity 58
2.878 Å, intensity 81
2.830 Å, intensity 71
2.604 Å, intensity 43
2.552 Å, intensity 67
2.518 Å, intensity 88
2.411 Å, intensity 59


Entry 3:
Simulated powder diffraction line list of Li2CuPO4 for CuKα, from a crystal structure in Alexandria, relaxed with GGA-PBE.

Atomic structure:
```
Li2CuPO4
1.0
5.4249 0.0000 0.0000
0.0805 6.1896 0.0000
0.1319 0.0454 10.0626
Li Cu P O
8 4 4 16
Cartesian
0.0000 0.0000 0.0000
0.0445 3.0216 0.0518
0.9330 1.4986 2.4835
1.0476 1.5451 7.5318
2.6632 4.6348 4.9513
2.8355 4.6296 10.0612
3.6034 6.1441 2.4453
3.7395 6.1563 7.5393
3.6906 3.0927 2.5563
3.8936 3.0887 7.4264
5.1828 3.3141 5.1826
5.2876 5.9302 4.9283
0.8947 4.6235 2.3893
1.0296 4.6690 7.6074
2.5972 1.4699 4.9727
2.8652 1.5324 10.0050
0.2621 5.9369 8.0769
0.2247 3.3048 2.9060
0.3284 3.3780 8.1641
0.8967 4.6105 0.8390
1.0495 4.6073 6.0380
1.1454 1.4912 5.5117
1.2657 1.4975 0.4719
2.3463 4.6832 2.9519
2.5006 4.6989 8.1028
2.6517 1.4330 3.4204
2.8517 1.5217 8.4415
3.2975 2.7967 5.4494
3.3466 0.2336 5.5652
3.5037 2.7650 0.4235
3.4763 0.2136 0.4593
5.5307 5.8922 2.8630
```

Largest 12 diffraction maxima, low angle first, 2θ = 10–90°:
6.190 Å, intensity 50
4.053 Å, intensity 100
3.913 Å, intensity 35
3.896 Å, intensity 46
3.201 Å, intensity 37
3.162 Å, intensity 29
2.703 Å, intensity 67
2.673 Å, intensity 60
2.516 Å, intensity 91
2.400 Å, intensity 33
2.373 Å, intensity 40
2.361 Å, intensity 34


Entry 4:
Simulated powder diffraction line list of LiCu2PO4 for CuKα, from a crystal structure in Alexandria, relaxed with GGA-PBE.

Atomic structure:
```
LiCu2PO4
1.0
5.2405 0.0000 0.0000
0.0000 5.3922 0.0000
-4.9445 0.0000 6.2503
Li Cu P O
2 4 2 8
Cartesian
0.0000 0.9837 0.0000
-2.4722 4.4085 3.1252
0.3415 0.8946 3.2182
2.8137 4.4976 0.0930
2.5121 1.3745 1.5477
0.0398 4.0177 4.6729
-2.3289 1.8016 4.7070
0.1433 3.5906 1.5819
-0.3773 2.1369 1.5310
-2.8495 3.2553 4.6562
-2.9543 1.0654 5.9486
-0.4821 4.3269 2.8235
-0.7825 1.7411 4.7698
1.6897 3.6511 1.6446
2.4103 0.9778 3.4555
4.8826 4.4144 0.3304
```

Largest 12 diffraction maxima, low angle first, 2θ = 10–90°:
4.110 Å, intensity 57
4.083 Å, intensity 46
3.756 Å, intensity 32
2.699 Å, intensity 100
2.617 Å, intensity 75
2.443 Å, intensity 63
2.363 Å, intensity 59
2.254 Å, intensity 21
2.173 Å, intensity 35
1.878 Å, intensity 23
1.557 Å, intensity 28
1.439 Å, intensity 21


Entry 5:
Simulated powder diffraction line list of LiCu5P2O8 for CuKα, from a crystal structure in Alexandria, relaxed with GGA-PBE.

Atomic structure:
```
LiCu5P2O8
1.0
5.1124 0.0000 0.0000
0.0689 5.4856 0.0000
0.4393 0.2525 6.4266
Li Cu P O
1 5 2 8
Cartesian
0.0000 0.0000 0.0000
0.5065 3.1394 4.8781
0.6338 5.2556 3.5235
2.4094 0.6814 1.9940
2.7262 3.8956 3.2768
2.7013 4.0345 0.5582
2.9950 1.1116 4.8416
5.1327 2.6634 1.5238
0.5482 3.3430 2.8230
0.5039 3.5296 0.3003
0.5708 1.2213 1.4130
1.4269 1.0135 4.8529
3.4451 2.5858 4.7587
3.5958 0.4536 6.1179
3.5688 0.3033 3.5998
3.5689 2.5989 1.5667
```

Largest 12 diffraction maxima, low angle first, 2θ = 10–90°:
6.427 Å, intensity 45
4.134 Å, intensity 34
3.354 Å, intensity 36
2.821 Å, intensity 79
2.741 Å, intensity 29
2.726 Å, intensity 36
2.550 Å, intensity 100
2.539 Å, intensity 27
2.458 Å, intensity 31
2.424 Å, intensity 31
2.404 Å, intensity 76
2.353 Å, intensity 51


Entry 6:
Simulated powder diffraction line list of Li2CuPO4 for CuKα, from a crystal structure in Alexandria, relaxed with GGA-PBE.

Atomic structure:
```
Li2CuPO4
1.0
5.4582 0.0000 0.0000
0.0000 4.9858 0.0000
-0.2530 0.0000 6.2102
Li Cu P O
4 2 2 8
Cartesian
0.7664 0.0000 1.5630
1.8222 2.5048 0.0250
3.3830 0.0119 6.1852
4.4388 2.4929 4.6472
1.9515 2.2897 3.1475
3.2537 4.7826 3.0626
0.6843 0.0253 4.7257
4.5209 2.5182 1.4845
0.5344 2.0158 1.4538
0.7370 1.5874 4.6908
1.3474 4.4627 3.4129
1.4499 4.4991 5.9810
3.7554 2.0062 0.2291
3.8578 1.9698 2.7973
4.4682 4.0803 1.5194
4.6708 4.5087 4.7564
```

Largest 12 diffraction maxima, low angle first, 2θ = 10–90°:
6.210 Å, intensity 100
4.018 Å, intensity 80
3.888 Å, intensity 31
3.205 Å, intensity 50
2.747 Å, intensity 38
2.652 Å, intensity 41
2.493 Å, intensity 60
2.392 Å, intensity 29
2.313 Å, intensity 18
2.260 Å, intensity 30
1.817 Å, intensity 17
1.593 Å, intensity 17


Entry 7:
Simulated powder diffraction line list of LiCu5P3O13 for CuKα, from a crystal structure in Alexandria, relaxed with GGA-PBE.

Atomic structure:
```
LiCu5P3O13
1.0
6.2486 0.0000 0.0000
-0.0715 8.2587 0.0000
-0.0861 -0.2804 9.9242
Li Cu P O
2 10 6 26
Cartesian
1.4886 3.4775 4.5113
4.6025 4.5008 5.4129
-0.0604 0.9919 7.8104
1.4693 6.2786 5.4043
1.4494 6.8162 9.1313
1.5572 4.6184 0.9827
3.0441 0.9829 7.8322
3.0469 6.9954 2.0921
4.5338 3.3598 8.9415
4.6416 1.1620 0.7929
4.6217 1.6997 4.5199
6.1515 6.9864 2.1138
1.5037 0.9876 5.0883
1.5523 1.2384 1.1517
1.4719 3.8322 7.6424
4.6191 4.1460 2.2818
4.5387 6.7399 8.7725
4.5873 6.9906 4.8359
0.1886 2.9398 7.7758
0.2688 0.6479 1.8435
0.3028 1.8965 4.7176
1.4856 2.7487 1.2402
1.4505 6.5366 1.1252
1.4831 0.6549 6.6416
1.4653 4.4894 6.2368
1.4455 4.8616 8.8067
1.4639 7.8977 4.3495
1.5022 0.4871 9.5805
2.7007 1.9204 4.7622
2.8398 0.7064 1.8722
2.7703 2.9704 7.7843
3.3208 5.0079 2.1400
3.2513 7.2718 8.0520
3.3903 6.0578 5.1621
4.5888 7.4912 0.3438
4.6271 0.0806 5.5747
4.6455 3.1167 1.1175
4.6258 3.4888 3.6875
4.6079 7.3234 3.2826
4.6406 1.4416 8.7990
4.6054 5.2295 8.6840
5.7883 6.0817 5.2066
5.8223 7.3303 8.0807
5.9025 5.0384 2.1484
```

Largest 12 diffraction maxima, low angle first, 2θ = 10–90°:
8.255 Å, intensity 86
6.437 Å, intensity 36
3.308 Å, intensity 100
3.127 Å, intensity 69
3.041 Å, intensity 63
2.810 Å, intensity 47
2.782 Å, intensity 44
2.751 Å, intensity 76
2.654 Å, intensity 55
2.633 Å, intensity 53
2.618 Å, intensity 35
1.562 Å, intensity 39


Entry 8:
Simulated powder diffraction line list of LiCu2PO4 for CuKα, from a crystal structure in Alexandria, relaxed with GGA-PBE.

Atomic structure:
```
LiCu2PO4
1.0
6.0275 0.0000 0.0000
0.0000 5.7293 0.0000
0.0000 0.0000 5.0940
Li Cu P O
2 4 2 8
Cartesian
0.0000 0.7711 0.0000
3.0138 4.9582 2.5470
1.3098 2.1471 2.6914
1.7040 3.5822 0.1444
4.3235 3.5822 0.1444
4.7178 2.1471 2.6914
0.0000 4.8065 2.5153
3.0138 0.9228 5.0623
0.0000 0.5301 3.0860
0.0000 4.7900 0.9629
1.2957 4.1031 3.0520
1.7180 1.6262 0.5050
3.0138 0.9393 3.5099
3.0138 5.1992 0.5390
4.3095 1.6262 0.5050
4.7318 4.1031 3.0520
```

Largest 12 diffraction maxima, low angle first, 2θ = 10–90°:
5.729 Å, intensity 59
3.891 Å, intensity 66
3.807 Å, intensity 38
3.014 Å, intensity 28
2.667 Å, intensity 100
2.547 Å, intensity 90
2.497 Å, intensity 85
2.363 Å, intensity 53
1.923 Å, intensity 44
1.842 Å, intensity 44
1.613 Å, intensity 26
1.432 Å, intensity 31


Entry 9:
Simulated powder diffraction line list of Li5Cu6P8O28 for CuKα, from a crystal structure in Alexandria, relaxed with GGA-PBE.

Atomic structure:
```
Li5Cu6P8O28
1.0
6.2669 0.0000 0.0000
-0.4442 8.4149 0.0000
-0.2406 -2.4830 10.0249
Li Cu P O
5 6 8 28
Cartesian
0.0000 0.0000 0.0000
2.0204 6.5048 3.7803
2.6664 0.7474 8.8451
2.9158 5.1845 1.1798
3.5617 -0.5730 6.2446
-0.1203 -1.2415 5.0125
0.5450 4.0268 4.3912
0.7335 3.1529 8.5995
3.1335 0.0000 0.0000
4.8486 2.7790 1.4254
5.0372 1.9051 5.6337
-0.1708 5.6528 1.8111
0.8313 6.4001 7.6762
1.7784 2.1026 1.8191
1.9237 1.2274 4.7204
3.6585 4.7045 5.3045
3.8038 3.8292 8.2058
4.7508 -0.4683 2.3488
5.7529 0.2790 8.2138
0.0233 -1.2567 8.4069
0.4261 2.7291 2.1495
0.2684 5.6456 3.3031
0.3817 5.9500 6.2914
0.7306 2.1499 5.0998
0.7093 1.1629 8.4798
0.9796 5.5429 0.8437
1.0022 5.1950 8.6737
1.6398 0.8529 0.9363
1.5878 -0.2771 4.6984
2.4223 1.6422 3.2482
2.4639 -1.0766 7.7400
2.4652 4.5158 4.3745
2.8199 3.0806 1.2456
2.7622 2.8512 8.7793
3.1170 1.4160 5.6504
3.1182 7.0084 2.2849
3.1599 4.2896 6.7767
3.9943 6.2090 5.3265
3.9423 5.0790 9.0886
4.5800 0.7369 1.3512
4.6026 0.3889 9.1812
4.8728 4.7690 1.5451
4.8515 3.7820 4.9252
5.2004 -0.0181 3.7335
5.3138 0.2862 6.7218
5.1560 3.2028 7.8754
5.5588 7.1886 1.6181
```

Largest 12 diffraction maxima, low angle first, 2θ = 10–90°:
4.672 Å, intensity 54
3.984 Å, intensity 36
3.386 Å, intensity 67
3.342 Å, intensity 100
3.141 Å, intensity 58
2.961 Å, intensity 32
2.903 Å, intensity 40
2.863 Å, intensity 63
2.847 Å, intensity 47
2.723 Å, intensity 59
2.681 Å, intensity 32
2.505 Å, intensity 33